# 1
This entry pairs a crystal structure of CoGe with its computed powder diffraction line list. Radiation: Cu Ka. Structure: the GGA-PBE geometry in Alexandria.

```
data_CoGe
_symmetry_space_group_name_H-M 'I m m m'
_symmetry_Int_Tables_number 71
_symmetry_space_group_name_Hall '-I 2 2'
_cell_length_a 3.002
_cell_length_b 5.249
_cell_length_c 6.773
_cell_angle_alpha 90.00
_cell_angle_beta 90.00
_cell_angle_gamma 90.00
loop_
_atom_site_label
_atom_site_fract_x
_atom_site_fract_y
_atom_site_fract_z
Co1 0.000 0.000 0.199
Ge1 0.000 0.245 0.500
```

Most intense lines, 10° ≤ 2θ ≤ 90°, by intensity:
- d 2.075, intensity 100
- d 1.897, intensity 74
- d 1.804, intensity 55
- d 2.606, intensity 45
- d 2.744, intensity 38
- d 1.216, intensity 32

***

# 2
This entry pairs a crystal structure of Li4CdBi2 with its computed powder diffraction line list. Radiation: Cu Ka. Structure: the GGA-PBE geometry in Alexandria.

```
data_Li4CdBi2
_symmetry_space_group_name_H-M 'P 4/m m m'
_symmetry_Int_Tables_number 123
_symmetry_space_group_name_Hall '-P 4 2'
_cell_length_a 4.768
_cell_length_b 4.768
_cell_length_c 6.862
_cell_angle_alpha 90.00
_cell_angle_beta 90.00
_cell_angle_gamma 90.00
loop_
_atom_site_label
_atom_site_fract_x
_atom_site_fract_y
_atom_site_fract_z
Li1 0.000 0.500 0.224
Cd1 0.000 0.000 0.500
Bi1 0.000 0.000 0.000
Bi2 0.500 0.500 0.500
```

Most intense lines, 10° ≤ 2θ ≤ 90°, by intensity:
- d 3.372, intensity 100
- d 3.916, intensity 98
- d 2.405, intensity 95
- d 3.431, intensity 52
- d 2.384, intensity 47
- d 1.958, intensity 45

***

# 3
This entry pairs a crystal structure of HfTa3C2 with its computed powder diffraction line list. Radiation: Cu Ka. Structure: the GGA-PBE geometry in Alexandria.

```
data_HfTa3C2
_symmetry_space_group_name_H-M 'P -3 m 1'
_symmetry_Int_Tables_number 164
_symmetry_space_group_name_Hall '-P 3 2"'
_cell_length_a 6.3176
_cell_length_b 6.3176
_cell_length_c 5.0497
_cell_angle_alpha 90.00
_cell_angle_beta 90.00
_cell_angle_gamma 120.00
loop_
_atom_site_label
_atom_site_fract_x
_atom_site_fract_y
_atom_site_fract_z
Hf1 0.3333 0.6667 0.2702
Ta1 0.1663 0.3326 0.7562
C1 0.0000 0.0000 0.0000
C2 0.0000 0.5000 0.0000
```

Most intense lines, 10° ≤ 2θ ≤ 90°, by intensity:
- d 2.405, intensity 100
- d 2.525, intensity 24
- d 2.736, intensity 21
- d 1.339, intensity 20
- d 1.579, intensity 19
- d 1.434, intensity 19

***

# 4
This entry pairs a crystal structure of Hf2CdHg with its computed powder diffraction line list. Radiation: Cu Ka. Structure: the GGA-PBE geometry in Alexandria.

```
data_Hf2CdHg
_symmetry_space_group_name_H-M 'P 1 21/m 1'
_symmetry_Int_Tables_number 11
_cell_length_a 4.370
_cell_length_b 4.394
_cell_length_c 9.065
_cell_angle_alpha 90.00
_cell_angle_beta 90.05
_cell_angle_gamma 90.00
loop_
_symmetry_equiv_pos_as_xyz
'x,y,z'
'-x,-y,-z'
'-x,y+1/2,-z'
'x,-y+1/2,z'
loop_
_atom_site_label
_atom_site_fract_x
_atom_site_fract_y
_atom_site_fract_z
Hf1 0.000 0.250 0.119
Hf2 0.500 0.250 0.881
Cd1 0.000 0.250 0.621
Hg1 0.500 0.250 0.369
```

Most intense lines, 10° ≤ 2θ ≤ 90°, by intensity:
- d 2.558, intensity 100
- d 2.266, intensity 17
- d 2.197, intensity 16
- d 2.185, intensity 16
- d 1.358, intensity 13
- d 1.328, intensity 13

***

# 5
This entry pairs a crystal structure of La2PmPr4Sm with its computed powder diffraction line list. Radiation: Cu Ka. Structure: the GGA-PBE geometry in Alexandria.

```
data_La2PmPr4Sm
_symmetry_space_group_name_H-M 'P 1 2/m 1'
_symmetry_Int_Tables_number 10
_cell_length_a 5.232
_cell_length_b 5.238
_cell_length_c 10.503
_cell_angle_alpha 90.00
_cell_angle_beta 90.20
_cell_angle_gamma 90.00
loop_
_symmetry_equiv_pos_as_xyz
'x,y,z'
'-x,-y,-z'
'-x,y,-z'
'x,-y,z'
loop_
_atom_site_label
_atom_site_fract_x
_atom_site_fract_y
_atom_site_fract_z
La1 0.000 0.000 0.000
La2 0.500 0.500 0.500
Pm1 0.000 0.000 0.500
Pr1 0.000 0.500 0.250
Pr2 0.500 0.000 0.250
Sm1 0.500 0.500 0.000
```

Most intense lines, 10° ≤ 2θ ≤ 90°, by intensity:
- d 3.026, intensity 100
- d 2.622, intensity 34
- d 1.580, intensity 29
- d 1.855, intensity 18
- d 1.851, intensity 18
- d 2.616, intensity 17

***

# 6
This entry pairs a crystal structure of Sr5PtAu with its computed powder diffraction line list. Radiation: Cu Ka. Structure: the GGA-PBE geometry in Alexandria.

```
data_Sr5PtAu
_symmetry_space_group_name_H-M 'P 1 21/m 1'
_symmetry_Int_Tables_number 11
_cell_length_a 8.571
_cell_length_b 4.521
_cell_length_c 14.188
_cell_angle_alpha 90.00
_cell_angle_beta 92.66
_cell_angle_gamma 90.00
loop_
_symmetry_equiv_pos_as_xyz
'x,y,z'
'-x,-y,-z'
'-x,y+1/2,-z'
'x,-y+1/2,z'
loop_
_atom_site_label
_atom_site_fract_x
_atom_site_fract_y
_atom_site_fract_z
Sr1 0.066 0.250 0.170
Sr2 0.144 0.750 0.571
Sr3 0.328 0.750 0.018
Sr4 0.344 0.250 0.780
Sr5 0.360 0.250 0.370
Pt1 0.438 0.250 0.152
Au1 0.065 0.750 0.339
```

Most intense lines, 10° ≤ 2θ ≤ 90°, by intensity:
- d 7.182, intensity 100
- d 2.812, intensity 55
- d 3.018, intensity 44
- d 3.108, intensity 44
- d 2.260, intensity 38
- d 2.789, intensity 34

***

# 7
This entry pairs a crystal structure of Hf2BePd6 with its computed powder diffraction line list. Radiation: Cu Ka. Structure: the GGA-PBE geometry in Alexandria.

```
data_Hf2BePd6
_symmetry_space_group_name_H-M 'C 1 2/m 1'
_symmetry_Int_Tables_number 12
_cell_length_a 13.101
_cell_length_b 6.865
_cell_length_c 3.598
_cell_angle_alpha 90.00
_cell_angle_beta 105.78
_cell_angle_gamma 90.00
loop_
_symmetry_equiv_pos_as_xyz
'x,y,z'
'-x,-y,-z'
'-x,y,-z'
'x,-y,z'
'x+1/2,y+1/2,z'
'-x+1/2,-y+1/2,-z'
'-x+1/2,y+1/2,-z'
'x+1/2,-y+1/2,z'
loop_
_atom_site_label
_atom_site_fract_x
_atom_site_fract_y
_atom_site_fract_z
Hf1 0.146 0.000 0.145
Be1 0.000 0.500 0.500
Pd1 0.000 0.290 0.000
Pd2 0.165 0.294 0.664
```

Most intense lines, 10° ≤ 2θ ≤ 90°, by intensity:
- d 2.138, intensity 100
- d 3.187, intensity 34
- d 2.101, intensity 24
- d 2.251, intensity 20
- d 1.799, intensity 19
- d 3.584, intensity 18

***

# 8
This entry pairs a crystal structure of Ca3Ge5Ir6 with its computed powder diffraction line list. Radiation: Cu Ka. Structure: the GGA-PBE geometry in Alexandria.

```
data_Ca3Ge5Ir6
_symmetry_space_group_name_H-M 'P m m n'
_symmetry_Int_Tables_number 59
_cell_length_a 4.084
_cell_length_b 12.797
_cell_length_c 9.886
_cell_angle_alpha 90.00
_cell_angle_beta 90.00
_cell_angle_gamma 90.00
loop_
_symmetry_equiv_pos_as_xyz
'x,y,z'
'-x,-y,-z'
'-x+1/2,-y+1/2,z'
'x+1/2,y+1/2,-z'
'x+1/2,-y,-z'
'-x+1/2,y,z'
'-x,y+1/2,-z'
'x,-y+1/2,z'
loop_
_atom_site_label
_atom_site_fract_x
_atom_site_fract_y
_atom_site_fract_z
Ca1 0.250 0.093 0.249
Ca2 0.250 0.750 0.258
Ge1 0.250 0.076 0.848
Ge2 0.250 0.628 0.519
Ge3 0.250 0.750 0.886
Ir1 0.250 0.053 0.600
Ir2 0.250 0.250 0.495
Ir3 0.250 0.250 0.977
Ir4 0.250 0.581 0.010
```

Most intense lines, 10° ≤ 2θ ≤ 90°, by intensity:
- d 4.943, intensity 100
- d 2.533, intensity 88
- d 1.894, intensity 58
- d 2.826, intensity 41
- d 2.042, intensity 38
- d 2.118, intensity 30